# BaTh2P2N6
Calculated powder XRD pattern, Cu Kα. Input: a crystal structure in Alexandria, relaxed with GGA-PBE.
Peak positions follow from Bragg's law for the DFT cell and can differ from measured ones.

Largest 6 diffraction maxima, in order of rising 2θ, 2θ from 10° to 90°:
two_theta	Rel. int.
18.5	100
24.5	61
28.1	49
29.2	58
30.1	42
31.7	42

Crystal structure
```
11
Lattice="5.916 0.000 0.000 -1.716 5.934 0.000 -1.437 -3.198 5.494" Properties=species:S:1:pos:R:3 pbc="T T T"
Ba 0.000 0.000 0.000
Th 0.216 -0.004 3.619
Th 2.547 2.741 1.876
P -0.269 3.225 1.031
P 3.032 -0.489 4.464
N -1.336 4.111 1.910
N 0.196 1.889 1.917
N 1.080 3.940 0.391
N 1.683 -1.203 5.103
N 2.567 0.848 3.577
N 4.100 -1.375 3.584
```

# Pm5Ga2Ni
Calculated powder XRD pattern, Cu Kα. Input: a crystal structure in Alexandria, relaxed with GGA-PBE.
Peak positions follow from Bragg's law for the DFT cell and can differ from measured ones.

Largest 6 diffraction maxima, in order of rising 2θ, 2θ from 10° to 90°:
two_theta	Rel. int.
31.0	67
33.7	43
34.6	100
47.1	21
59.8	21
64.0	20

Crystal structure
```
8
Lattice="2.593 1.497 8.787 -2.593 1.497 8.787 0.000 -2.994 8.787" Properties=species:S:1:pos:R:3 pbc="T T T"
Pm 0.000 0.000 0.000
Pm 0.000 0.000 3.484
Pm 0.000 0.000 7.233
Pm 0.000 0.000 19.128
Pm 0.000 0.000 22.877
Ga 0.000 0.000 10.653
Ga 0.000 0.000 15.707
Ni 0.000 0.000 13.180
```

# Zr2TlSb
Calculated powder XRD pattern, Cu Kα. Input: a crystal structure in Alexandria, relaxed with GGA-PBE.
Peak positions follow from Bragg's law for the DFT cell and can differ from measured ones.

Largest 6 diffraction maxima, in order of rising 2θ, 2θ from 10° to 90°:
two_theta	Rel. int.
26.9	16
32.0	80
37.2	100
45.9	29
60.5	48
76.1	13

Crystal structure
```
4
Lattice="3.956 0.000 0.000 0.000 3.956 0.000 0.000 0.000 6.097" Properties=species:S:1:pos:R:3 pbc="T T T"
Zr 0.000 0.000 0.000
Zr 1.978 1.978 1.613
Tl 1.978 1.978 4.738
Sb 0.000 0.000 2.922
```